[1]
For LaAl3Br12, the PBE geometry in Alexandria gives the theoretical powder XRD pattern in this record (Cu Kα (λ = 1.5418 Å)).

Main lines, low angle first (10 to 80 degrees two-theta):
10.3°, 8.588 Å, intensity 100; 13.1°, 6.782 Å, intensity 24; 16.7°, 5.322 Å, intensity 32; 23.2°, 3.838 Å, intensity 22; 24.5°, 3.627 Å, intensity 38; 25.0°, 3.563 Å, intensity 42; 26.3°, 3.393 Å, intensity 41; 28.3°, 3.156 Å, intensity 73; 29.4°, 3.036 Å, intensity 27; 29.8°, 2.994 Å, intensity 30; 33.7°, 2.663 Å, intensity 43; 36.6°, 2.457 Å, intensity 30

Atomic structure:
```
data_LaAl3Br12
_chemical_formula_sum 'La3 Al9 Br36'
_symmetry_space_group_name_H-M 'P 1'
_symmetry_Int_Tables_number 1
_cell_length_a 11.0946
_cell_length_b 11.0946
_cell_length_c 19.1472
_cell_angle_alpha 90.00
_cell_angle_beta 90.00
_cell_angle_gamma 120.00
loop_
_symmetry_equiv_pos_as_xyz
'x,y,z'
loop_
_atom_site_label
_atom_site_type_symbol
_atom_site_fract_x
_atom_site_fract_y
_atom_site_fract_z
_atom_site_occupancy
La1 La 0.0000 0.7506 0.1667 1
La2 La 0.2494 0.2494 0.5000 1
La3 La 0.7506 0.0000 0.8333 1
Al1 Al 0.0000 0.0738 0.6667 1
Al2 Al 0.0738 0.0000 0.3333 1
Al3 Al 0.2904 0.6611 0.2323 1
Al4 Al 0.3389 0.6293 0.5656 1
Al5 Al 0.3707 0.7096 0.8989 1
Al6 Al 0.6293 0.3389 0.4344 1
Al7 Al 0.6611 0.2904 0.7677 1
Al8 Al 0.7096 0.3707 0.1011 1
Al9 Al 0.9262 0.9262 0.0000 1
Br1 Br 0.0418 0.2124 0.7658 1
Br2 Br 0.0499 0.1880 0.3677 1
Br3 Br 0.0728 0.6156 0.2833 1
Br4 Br 0.1381 0.9501 0.0343 1
Br5 Br 0.1706 0.9582 0.4324 1
Br6 Br 0.1807 0.7229 0.8669 1
Br7 Br 0.1880 0.0499 0.6323 1
Br8 Br 0.1967 0.6667 0.6365 1
Br9 Br 0.2124 0.0418 0.2342 1
Br10 Br 0.2143 0.4990 0.4648 1
Br11 Br 0.2771 0.4578 0.2002 1
Br12 Br 0.2847 0.7857 0.1314 1
Br13 Br 0.3333 0.5300 0.9698 1
Br14 Br 0.3844 0.4572 0.6167 1
Br15 Br 0.4572 0.3844 0.3833 1
Br16 Br 0.4578 0.2771 0.7998 1
Br17 Br 0.4700 0.8033 0.3032 1
Br18 Br 0.4990 0.2143 0.5352 1
Br19 Br 0.5010 0.7153 0.7981 1
Br20 Br 0.5300 0.3333 0.0302 1
Br21 Br 0.5422 0.8193 0.5335 1
Br22 Br 0.5428 0.9272 0.9500 1
Br23 Br 0.6156 0.0728 0.7167 1
Br24 Br 0.6667 0.1967 0.3635 1
Br25 Br 0.7153 0.5010 0.2019 1
Br26 Br 0.7229 0.1807 0.1331 1
Br27 Br 0.7857 0.2847 0.8686 1
Br28 Br 0.7876 0.8294 0.0991 1
Br29 Br 0.8033 0.4700 0.6968 1
Br30 Br 0.8120 0.8619 0.7010 1
Br31 Br 0.8193 0.5422 0.4665 1
Br32 Br 0.8294 0.7876 0.9009 1
Br33 Br 0.8619 0.8120 0.2990 1
Br34 Br 0.9272 0.5428 0.0500 1
Br35 Br 0.9501 0.1381 0.9657 1
Br36 Br 0.9582 0.1706 0.5676 1
```


[2]
For La5AlBr5, the PBE geometry in Alexandria gives the theoretical powder XRD pattern in this record (Cu Kα (λ = 1.5418 Å)).

Main lines, low angle first (10 to 80 degrees two-theta):
24.8°, 3.585 Å, intensity 10; 28.9°, 3.088 Å, intensity 48; 29.3°, 3.053 Å, intensity 100; 33.9°, 2.648 Å, intensity 9; 40.7°, 2.215 Å, intensity 19; 41.4°, 2.179 Å, intensity 18; 41.7°, 2.164 Å, intensity 36; 41.9°, 2.154 Å, intensity 18; 42.5°, 2.129 Å, intensity 17; 50.9°, 1.793 Å, intensity 19; 52.2°, 1.753 Å, intensity 10; 52.6°, 1.740 Å, intensity 10

Atomic structure:
```
data_La5AlBr5
_chemical_formula_sum 'La5 Al1 Br5'
_symmetry_space_group_name_H-M 'P 1'
_symmetry_Int_Tables_number 1
_cell_length_a 6.1106
_cell_length_b 7.3754
_cell_length_c 8.8607
_cell_angle_alpha 73.11
_cell_angle_beta 89.90
_cell_angle_gamma 65.93
loop_
_symmetry_equiv_pos_as_xyz
'x,y,z'
loop_
_atom_site_label
_atom_site_type_symbol
_atom_site_fract_x
_atom_site_fract_y
_atom_site_fract_z
_atom_site_occupancy
La1 La 0.0000 0.0000 0.0000 1
La2 La 0.3267 0.3479 0.1499 1
La3 La 0.3418 0.3233 0.6801 1
La4 La 0.6582 0.6767 0.3199 1
La5 La 0.6733 0.6521 0.8501 1
Al1 Al 0.5000 0.0000 0.0000 1
Br1 Br 0.1530 0.6872 0.3455 1
Br2 Br 0.1526 0.6943 0.8058 1
Br3 Br 0.5000 0.0000 0.5000 1
Br4 Br 0.8474 0.3057 0.1942 1
Br5 Br 0.8470 0.3128 0.6545 1
```


[3]
For LaAl2Br, the PBE geometry in Alexandria gives the theoretical powder XRD pattern in this record (Cu Kα (λ = 1.5418 Å)).

Main lines, low angle first (10 to 80 degrees two-theta):
11.5°, 7.718 Å, intensity 97; 23.3°, 3.812 Å, intensity 46; 27.8°, 3.214 Å, intensity 100; 30.1°, 2.967 Å, intensity 38; 35.7°, 2.513 Å, intensity 34; 38.9°, 2.317 Å, intensity 38; 40.4°, 2.231 Å, intensity 48; 42.2°, 2.144 Å, intensity 25; 49.7°, 1.833 Å, intensity 20; 57.3°, 1.607 Å, intensity 12; 63.8°, 1.459 Å, intensity 29; 66.0°, 1.416 Å, intensity 17

Atomic structure:
```
data_LaAl2Br
_chemical_formula_sum 'La1 Al2 Br1'
_symmetry_space_group_name_H-M 'P 1'
_symmetry_Int_Tables_number 1
_cell_length_a 8.1365
_cell_length_b 8.1365
_cell_length_c 8.1365
_cell_angle_alpha 31.83
_cell_angle_beta 31.83
_cell_angle_gamma 31.83
loop_
_symmetry_equiv_pos_as_xyz
'x,y,z'
loop_
_atom_site_label
_atom_site_type_symbol
_atom_site_fract_x
_atom_site_fract_y
_atom_site_fract_z
_atom_site_occupancy
La1 La 0.0000 0.0000 0.0000 1
Al1 Al 0.4212 0.4212 0.4212 1
Al2 Al 0.7473 0.7473 0.7473 1
Br1 Br 0.2546 0.2546 0.2546 1
```


[4]
For LaAlSiBr, the PBE geometry in Alexandria gives the theoretical powder XRD pattern in this record (Cu Kα (λ = 1.5418 Å)).

Main lines, low angle first (10 to 80 degrees two-theta):
12.5°, 7.093 Å, intensity 61; 24.2°, 3.682 Å, intensity 37; 28.3°, 3.158 Å, intensity 100; 29.4°, 3.035 Å, intensity 28; 32.1°, 2.790 Å, intensity 21; 36.7°, 2.451 Å, intensity 26; 38.3°, 2.348 Å, intensity 27; 42.4°, 2.134 Å, intensity 51; 43.7°, 2.073 Å, intensity 18; 44.3°, 2.043 Å, intensity 16; 51.7°, 1.768 Å, intensity 18; 69.0°, 1.361 Å, intensity 15

Atomic structure:
```
data_LaAlSiBr
_chemical_formula_sum 'La2 Al2 Si2 Br2'
_symmetry_space_group_name_H-M 'P 1'
_symmetry_Int_Tables_number 1
_cell_length_a 14.3975
_cell_length_b 14.3975
_cell_length_c 14.3975
_cell_angle_alpha 17.05
_cell_angle_beta 17.05
_cell_angle_gamma 17.05
loop_
_symmetry_equiv_pos_as_xyz
'x,y,z'
loop_
_atom_site_label
_atom_site_type_symbol
_atom_site_fract_x
_atom_site_fract_y
_atom_site_fract_z
_atom_site_occupancy
La1 La 0.0797 0.0797 0.0797 1
La2 La 0.9203 0.9203 0.9203 1
Al1 Al 0.3106 0.3106 0.3106 1
Al2 Al 0.6894 0.6894 0.6894 1
Si1 Si 0.3701 0.3701 0.3701 1
Si2 Si 0.6299 0.6299 0.6299 1
Br1 Br 0.2098 0.2098 0.2098 1
Br2 Br 0.7902 0.7902 0.7902 1
```


[5]
For LiAl2BrO6, the PBE geometry in Alexandria gives the theoretical powder XRD pattern in this record (Cu Kα (λ = 1.5418 Å)).

Main lines, low angle first (10 to 80 degrees two-theta):
21.3°, 4.172 Å, intensity 100; 26.6°, 3.356 Å, intensity 35; 27.3°, 3.269 Å, intensity 43; 33.7°, 2.663 Å, intensity 16; 34.3°, 2.611 Å, intensity 22; 38.0°, 2.370 Å, intensity 18; 40.2°, 2.245 Å, intensity 9; 44.8°, 2.022 Å, intensity 37; 51.5°, 1.774 Å, intensity 15; 51.7°, 1.769 Å, intensity 9; 54.7°, 1.678 Å, intensity 12; 63.4°, 1.466 Å, intensity 20

Atomic structure:
```
data_LiAl2BrO6
_chemical_formula_sum 'Li2 Al4 Br2 O12'
_symmetry_space_group_name_H-M 'P 1'
_symmetry_Int_Tables_number 1
_cell_length_a 5.1638
_cell_length_b 5.1638
_cell_length_c 9.7812
_cell_angle_alpha 90.00
_cell_angle_beta 90.00
_cell_angle_gamma 63.30
loop_
_symmetry_equiv_pos_as_xyz
'x,y,z'
loop_
_atom_site_label
_atom_site_type_symbol
_atom_site_fract_x
_atom_site_fract_y
_atom_site_fract_z
_atom_site_occupancy
Li1 Li 0.0000 0.0000 0.0000 1
Li2 Li 0.0000 0.0000 0.5000 1
Al1 Al 0.3074 0.3074 0.0000 1
Al2 Al 0.3074 0.3074 0.5000 1
Al3 Al 0.6926 0.6926 0.0000 1
Al4 Al 0.6926 0.6926 0.5000 1
Br1 Br 0.1780 0.8220 0.7500 1
Br2 Br 0.8220 0.1780 0.2500 1
O1 O 0.0147 0.6378 0.6013 1
O2 O 0.0147 0.6378 0.8987 1
O3 O 0.3622 0.9853 0.6013 1
O4 O 0.3622 0.9853 0.8987 1
O5 O 0.4229 0.5771 0.0692 1
O6 O 0.4229 0.5771 0.4308 1
O7 O 0.5771 0.4229 0.5692 1
O8 O 0.5771 0.4229 0.9308 1
O9 O 0.6378 0.0147 0.1013 1
O10 O 0.6378 0.0147 0.3987 1
O11 O 0.9853 0.3622 0.1013 1
O12 O 0.9853 0.3622 0.3987 1
```


[6]
For LiAl2BrO6, the PBE geometry in Alexandria gives the theoretical powder XRD pattern in this record (Cu Kα (λ = 1.5418 Å)).

Main lines, low angle first (10 to 80 degrees two-theta):
18.1°, 4.904 Å, intensity 8; 25.1°, 3.550 Å, intensity 100; 31.6°, 2.832 Å, intensity 18; 36.6°, 2.452 Å, intensity 20; 39.6°, 2.278 Å, intensity 8; 40.8°, 2.214 Å, intensity 7; 47.8°, 1.904 Å, intensity 25; 52.5°, 1.744 Å, intensity 21; 56.3°, 1.635 Å, intensity 10; 66.5°, 1.405 Å, intensity 9; 67.9°, 1.380 Å, intensity 7; 71.8°, 1.315 Å, intensity 10

Atomic structure:
```
data_LiAl2BrO6
_chemical_formula_sum 'Li2 Al4 Br2 O12'
_symmetry_space_group_name_H-M 'P 1'
_symmetry_Int_Tables_number 1
_cell_length_a 5.6631
_cell_length_b 5.6631
_cell_length_c 10.2877
_cell_angle_alpha 90.00
_cell_angle_beta 90.00
_cell_angle_gamma 120.00
loop_
_symmetry_equiv_pos_as_xyz
'x,y,z'
loop_
_atom_site_label
_atom_site_type_symbol
_atom_site_fract_x
_atom_site_fract_y
_atom_site_fract_z
_atom_site_occupancy
Li1 Li 0.0000 0.0000 0.0000 1
Li2 Li 0.0000 0.0000 0.5000 1
Al1 Al 0.3333 0.6667 0.0000 1
Al2 Al 0.3333 0.6667 0.5000 1
Al3 Al 0.6667 0.3333 0.0000 1
Al4 Al 0.6667 0.3333 0.5000 1
Br1 Br 0.0000 0.0000 0.2500 1
Br2 Br 0.0000 0.0000 0.7500 1
O1 O 0.0000 0.4164 0.0701 1
O2 O 0.0000 0.4164 0.4299 1
O3 O 0.0000 0.5836 0.5701 1
O4 O 0.0000 0.5836 0.9299 1
O5 O 0.4164 0.0000 0.0701 1
O6 O 0.4164 0.0000 0.4299 1
O7 O 0.4164 0.4164 0.5701 1
O8 O 0.4164 0.4164 0.9299 1
O9 O 0.5836 0.0000 0.5701 1
O10 O 0.5836 0.0000 0.9299 1
O11 O 0.5836 0.5836 0.0701 1
O12 O 0.5836 0.5836 0.4299 1
```


[7]
For LiAlTl2Br6, the PBE geometry in Alexandria gives the theoretical powder XRD pattern in this record (Cu Kα (λ = 1.5418 Å)).

Main lines, low angle first (10 to 80 degrees two-theta):
13.5°, 6.560 Å, intensity 21; 19.3°, 4.591 Å, intensity 19; 24.0°, 3.711 Å, intensity 13; 27.2°, 3.280 Å, intensity 17; 27.6°, 3.230 Å, intensity 11; 27.8°, 3.214 Å, intensity 22; 30.6°, 2.921 Å, intensity 15; 31.0°, 2.886 Å, intensity 100; 39.2°, 2.296 Å, intensity 31; 49.1°, 1.856 Å, intensity 22; 57.0°, 1.615 Å, intensity 12; 59.2°, 1.561 Å, intensity 15

Atomic structure:
```
data_LiAlTl2Br6
_chemical_formula_sum 'Li1 Al1 Tl2 Br6'
_symmetry_space_group_name_H-M 'P 1'
_symmetry_Int_Tables_number 1
_cell_length_a 7.4223
_cell_length_b 7.4223
_cell_length_c 6.5596
_cell_angle_alpha 90.00
_cell_angle_beta 90.00
_cell_angle_gamma 120.00
loop_
_symmetry_equiv_pos_as_xyz
'x,y,z'
loop_
_atom_site_label
_atom_site_type_symbol
_atom_site_fract_x
_atom_site_fract_y
_atom_site_fract_z
_atom_site_occupancy
Li1 Li 0.0000 0.0000 0.0000 1
Al1 Al 0.0000 0.0000 0.5000 1
Tl1 Tl 0.3333 0.6667 0.6616 1
Tl2 Tl 0.6667 0.3333 0.3384 1
Br1 Br 0.1591 0.3181 0.2731 1
Br2 Br 0.1591 0.8409 0.2731 1
Br3 Br 0.3181 0.1591 0.7269 1
Br4 Br 0.6819 0.8409 0.2731 1
Br5 Br 0.8409 0.1591 0.7269 1
Br6 Br 0.8409 0.6819 0.7269 1
```


[8]
For MgAl4Br, the PBE geometry in Alexandria gives the theoretical powder XRD pattern in this record (Cu Kα (λ = 1.5418 Å)).

Main lines, low angle first (10 to 80 degrees two-theta):
19.4°, 4.569 Å, intensity 19; 22.5°, 3.957 Å, intensity 17; 32.0°, 2.798 Å, intensity 50; 37.7°, 2.386 Å, intensity 100; 39.4°, 2.285 Å, intensity 23; 50.3°, 1.816 Å, intensity 5; 51.7°, 1.770 Å, intensity 7; 57.0°, 1.615 Å, intensity 18; 60.8°, 1.523 Å, intensity 32; 66.9°, 1.399 Å, intensity 22; 76.1°, 1.251 Å, intensity 8; 79.4°, 1.207 Å, intensity 11

Atomic structure:
```
data_MgAl4Br
_chemical_formula_sum 'Mg1 Al4 Br1'
_symmetry_space_group_name_H-M 'P 1'
_symmetry_Int_Tables_number 1
_cell_length_a 5.5959
_cell_length_b 5.5959
_cell_length_c 5.5959
_cell_angle_alpha 60.00
_cell_angle_beta 60.00
_cell_angle_gamma 60.00
loop_
_symmetry_equiv_pos_as_xyz
'x,y,z'
loop_
_atom_site_label
_atom_site_type_symbol
_atom_site_fract_x
_atom_site_fract_y
_atom_site_fract_z
_atom_site_occupancy
Mg1 Mg 0.0000 0.0000 0.0000 1
Al1 Al 0.1230 0.6257 0.6257 1
Al2 Al 0.6257 0.1230 0.6257 1
Al3 Al 0.6257 0.6257 0.1230 1
Al4 Al 0.6257 0.6257 0.6257 1
Br1 Br 0.2500 0.2500 0.2500 1
```